Diffraction record for TlCuRh2. The powder X-ray diffraction pattern is computed, not measured: it uses a DFT-relaxed cell (GGA-PBE, Alexandria) and Cu Kα (weighted mean of Kα1 and Kα2).
Lines closer than 0.1° are merged.

Cell and atoms:
Cell lengths 3.0028, 4.5119, 4.7085 Å; angles 90.00, 90.00, 90.00 degrees
Space group Pmmm (No. 47)
Symmetry-distinct sites (fractional):
Tl  0.0000  0.0000  0.0000 (multiplicity 1)
Cu  0.5000  0.0000  0.5000 (multiplicity 1)
Rh  0.0000  0.5000  0.5000 (multiplicity 1)
Rh  0.5000  0.5000  0.0000 (multiplicity 1)

The 6 most intense peaks (10° ≤ 2θ ≤ 90°), sorted by position:
hkl  2θ (°)  d_spacing  Rel. int.
0 0 2  38.23  2.354  30
0 2 0  39.96  2.256  27
1 1 1  40.87  2.208  100
0 2 2  56.50  1.629  19
1 1 3  70.90  1.329  19
1 3 1  73.20  1.293  18